# 1
Theoretical PXRD pattern
Compound: CaTbZnPd
Radiation: a wavelength of 1.5418 Å
Structure: a DFT-relaxed cell (GGA-PBE, Alexandria)
Kinematic intensities with the Lorentz-polarization factor, no thermal factor.

Most intense lines, 2θ = 10–90°, by angle:
Position (°2θ)  I_rel
15.63  54
31.56  21
31.76  100
32.70  30
38.11  32
39.08  71
42.36  24
45.66  19
60.94  16
77.83  15

Cell and atoms:
Cell: 4.2676 6.0082 6.0082 Å, 38.62 90.00 90.00°
Fractional coordinates of all 4 atoms:
Ca (0.0000, 0.0000, 0.0000)
Tb (0.5000, 0.2859, 0.2859)
Zn (0.5000, 0.5759, 0.5759)
Pd (0.0000, 0.7236, 0.7236)

=====

# 2
Theoretical PXRD pattern
Compound: KSb4Pb12
Radiation: a wavelength of 1.5418 Å
Structure: a DFT-relaxed cell (GGA-PBE, Alexandria)
Kinematic intensities with the Lorentz-polarization factor, no thermal factor.

Most intense lines, 2θ = 10–90°, by angle:
Position (°2θ)  I_rel
11.62  11
26.16  100
31.06  26
37.33  30
39.23  10
41.05  16
42.80  44
58.07  15
66.05  13
75.99  18

Cell and atoms:
Cell: 9.3294 9.3294 9.3294 Å, 109.47 109.47 109.47°
Fractional coordinates of all 17 atoms:
K (0.0000, 0.0000, 0.0000)
Sb (0.0000, 0.0000, 0.5000)
Sb (0.0000, 0.5000, 0.0000)
Sb (0.5000, 0.0000, 0.0000)
Sb (0.5000, 0.5000, 0.5000)
Pb (0.1502, 0.5036, 0.3534)
Pb (0.1502, 0.7968, 0.6466)
Pb (0.2032, 0.3534, 0.8498)
Pb (0.3534, 0.1502, 0.5036)
Pb (0.3534, 0.8498, 0.2032)
Pb (0.4964, 0.6466, 0.8498)
Pb (0.5036, 0.3534, 0.1502)
Pb (0.6466, 0.1502, 0.7968)
Pb (0.6466, 0.8498, 0.4964)
Pb (0.7968, 0.6466, 0.1502)
Pb (0.8498, 0.2032, 0.3534)
Pb (0.8498, 0.4964, 0.6466)

=====

# 3
Theoretical PXRD pattern
Compound: Cd3O
Radiation: a wavelength of 1.5418 Å
Structure: a DFT-relaxed cell (GGA-PBE, Alexandria)
Kinematic intensities with the Lorentz-polarization factor, no thermal factor.

Most intense lines, 2θ = 10–90°, by angle:
Position (°2θ)  I_rel
19.53  18
20.39  16
28.38  28
34.69  100
39.66  42
41.47  18
57.34  13
58.73  25
68.78  26
73.20  12

Cell and atoms:
Cell: 4.5450 4.5450 4.3547 Å, 90.00 90.00 90.00°
Fractional coordinates of all 4 atoms:
Cd (0.0000, 0.0000, 0.0000)
Cd (0.0000, 0.5000, 0.5003)
Cd (0.5000, 0.0000, 0.5003)
O (0.5000, 0.5000, 0.5021)